The following is a simulated X-ray powder pattern of Zr3CdC. It was derived from a cell relaxed with GGA-PBE, using Cu Kα.

Peak list (6 most intense, 2θ = 10–90°, by angle)
| d (Å) | I_rel |
| --- | --- |
| 2.702 | 1000 |
| 2.448 | 256 |
| 2.279 | 668 |
| 1.678 | 247 |
| 1.552 | 191 |
| 1.384 | 244 |

Structural model:
Unit cell a=8.0749 b=8.0749 c=8.0749 alpha=42.18 beta=42.18 gamma=42.18
Positions (direct):
Zr1 0.0960 0.4490 0.7844
Zr2 0.2156 0.9040 0.5510
Zr3 0.4490 0.7844 0.0960
Zr4 0.5510 0.2156 0.9040
Zr5 0.7844 0.0960 0.4490
Zr6 0.9040 0.5510 0.2156
Cd1 0.3357 0.3357 0.3357
Cd2 0.6643 0.6643 0.6643
C1 0.1632 0.1632 0.1632
C2 0.8368 0.8368 0.8368

---

The following is a simulated X-ray powder pattern of Si2P2H. It was derived from a cell relaxed with GGA-PBE, using Cu Kα.

Peak list (6 most intense, 2θ = 10–90°, by angle)
| d (Å) | I_rel |
| --- | --- |
| 5.557 | 1000 |
| 2.814 | 273 |
| 2.649 | 166 |
| 2.307 | 244 |
| 1.740 | 157 |
| 1.715 | 92 |

Structural model:
Unit cell a=7.0261 b=7.0261 c=7.0261 alpha=124.65 beta=124.65 gamma=82.12
Positions (direct):
Si1 0.2275 0.0000 0.2275
Si2 0.7500 0.0225 0.2725
Si3 0.7500 0.4775 0.7275
Si4 0.7725 0.0000 0.7725
P1 0.4508 0.2132 0.2377
P2 0.9632 0.2255 0.2623
P3 0.9632 0.7008 0.7377
P4 0.9755 0.2132 0.7623
H1 0.4598 0.9598 0.5000
H2 0.7098 0.7098 0.0000

---

The following is a simulated X-ray powder pattern of RbLi2In9. It was derived from a cell relaxed with GGA-PBE, using Cu Kα.

Peak list (6 most intense, 2θ = 10–90°, by angle)
| d (Å) | I_rel |
| --- | --- |
| 7.994 | 151 |
| 3.022 | 276 |
| 2.983 | 1000 |
| 2.505 | 467 |
| 2.308 | 203 |
| 2.241 | 190 |

Structural model:
Unit cell a=9.2311 b=9.2311 c=4.4813 alpha=90.00 beta=90.00 gamma=120.00
Positions (direct):
Rb1 0.0000 0.0000 0.0000
Li1 0.3333 0.6667 0.0000
Li2 0.6667 0.3333 0.0000
In1 0.0000 0.5000 0.0000
In2 0.2098 0.4196 0.5000
In3 0.2098 0.7902 0.5000
In4 0.4196 0.2098 0.5000
In5 0.5000 0.0000 0.0000
In6 0.5000 0.5000 0.0000
In7 0.5804 0.7902 0.5000
In8 0.7902 0.2098 0.5000
In9 0.7902 0.5804 0.5000